Computed powder XRD pattern of Mn2Bi2O5 for λ = 1.5418 Å (Cu Kα), from DFT lattice parameters and positions (GGA+U).
Lines closer than 0.1° are merged.

Cell: 15.457 6.223 5.759 Å, 90.00 90.00 90.00°
Space group Ima2 (No. 46)
Inequivalent atoms, fractional coordinates:
Mn 0.000 0.000 0.000 [4 per cell]
Mn 0.250 0.075 0.944 [4 per cell]
Bi 0.111 0.541 0.953 [8 per cell]
O 0.015 0.217 0.310 [8 per cell]
O 0.144 0.586 0.586 [8 per cell]
O 0.250 0.111 0.575 [4 per cell]

Most intense lines, 10° ≤ 2θ ≤ 90°, sorted by position:
hkl  Position (°2θ)  Rel. int.
0 1 1  21.02  54
0 2 0  28.69  30
0 0 2  31.06  34
4 1 1  31.37  100
0 2 2  42.79  22
4 1 3  55.45  24